Calculated powder XRD pattern of Na3CoMo3O8 for Cu Kα, from the GGA+U geometry in Alexandria.

Atomic structure:
Unit cell a=6.296 b=6.296 c=6.561 alpha=118.43 beta=118.43 gamma=60.17
Positions (direct):
1 Na 0.000 0.000 0.000
2 Na 0.000 0.500 0.000
3 Na 0.500 0.000 0.000
4 Co 0.000 0.000 0.500
5 Mo 0.000 0.500 0.500
6 Mo 0.500 0.000 0.500
7 Mo 0.500 0.500 0.500
8 O 0.218 0.218 0.691
9 O 0.227 0.750 0.690
10 O 0.250 0.773 0.310
11 O 0.271 0.271 0.292
12 O 0.729 0.729 0.708
13 O 0.750 0.227 0.690
14 O 0.773 0.250 0.310
15 O 0.782 0.782 0.309

Main lines, in order of rising 2θ (2θ = 5–70°):
d [Å]  Position (°2θ)  intensity
5.479  16.2  100.0
2.739  32.7  16.9
2.692  33.3  32.2
2.593  34.6  24.5
2.583  34.7  12.3
2.273  39.7  81.1
1.779  51.4  11.2
1.643  56.0  15.7
1.574  58.6  15.9
1.367  68.7  8.4